Cs2W3O10: simulated XRD peak list (λ = 1.5418 Å (Cu Kα)), based on the PBE+U geometry in Alexandria.
Kinematic intensities with the Lorentz-polarization factor, no thermal factor.

Peak list (8 most intense, 2θ from 5° to 70°, low angle first)
| 2theta | Rel. int. | h k l |
| --- | --- | --- |
| 9.31 | 71.3 | 0 0 1 |
| 18.68 | 74.9 | 0 0 2 |
| 21.86 | 62.3 | 0 2 -2 |
| 22.22 | 86.5 | 1 0 -2 |
| 23.09 | 100.0 | 1 -1 2 |
| 25.85 | 95.0 | 0 2 1 |
| 28.01 | 81.4 | 1 2 -1 |
| 28.83 | 82.3 | 0 3 -1 |

Atomic structure:
Lattice parameters (Å, degrees): 6.1229 9.8135 10.3103 110.88 92.12 108.06
Space group P-1 (No. 2)
Asymmetric unit:
1 Cs 0.0900 0.1926 0.2440 x2
2 Cs 0.1754 0.3872 0.8461 x2
3 W 0.2612 0.0083 0.5169 x2
4 W 0.3163 0.6343 0.5005 x2
5 W 0.4218 0.8150 0.9277 x2
6 O 0.0000 0.5000 0.5000 x1
7 O 0.0400 0.0631 0.6319 x2
8 O 0.1488 0.7271 0.9705 x2
9 O 0.1806 0.8034 0.5171 x2
10 O 0.2691 0.5703 0.3146 x2
11 O 0.3666 0.7213 0.7194 x2
12 O 0.3779 0.1982 0.4849 x2
13 O 0.3991 0.2930 0.0527 x2
14 O 0.4131 0.0080 0.8969 x2
15 O 0.4546 0.9299 0.3650 x2
16 O 0.5000 0.5000 0.5000 x1